Starting from a structure optimized by DFT (GGA-PBE), the X-ray powder pattern of Sr2Sb4Ir3Pt was computed for a wavelength of 1.5418 Å.
Lines closer than 0.1° are merged.

Main lines, sorted by position (15 to 90 degrees two-theta):
two_theta, I/Imax, h k l
16.9, 24, 0 0 2
32.0, 100, 1 1 2
38.5, 60, 2 0 0
44.1, 52, 1 1 4
50.9, 21, 2 1 3
55.6, 21, 2 2 0
65.6, 20, 3 1 2
73.5, 22, 3 1 4

Unit cell a=4.678 b=4.678 c=10.480 alpha=90.00 beta=90.00 gamma=90.00
Space group P-4m2 (No. 115)
Asymmetric unit:
Sr 0.000 0.500 0.248 [2 per cell]
Sb 0.000 0.000 0.500 [1 per cell]
Sb 0.000 0.500 0.871 [2 per cell]
Sb 0.500 0.500 0.500 [1 per cell]
Ir 0.000 0.000 0.000 [1 per cell]
Ir 0.000 0.500 0.621 [2 per cell]
Pt 0.500 0.500 0.000 [1 per cell]

***

Starting from a structure optimized by DFT (GGA-PBE), the X-ray powder pattern of Co2Si5Mo4 was computed for a wavelength of 1.5418 Å.
Lines closer than 0.1° are merged.

Main lines, sorted by position (15 to 90 degrees two-theta):
two_theta, I/Imax, h k l
31.8, 56, 1 4 1
36.6, 35, 0 0 2
41.3, 100, 3 2 1
41.6, 60, 1 6 1
41.9, 40, 2 5 1
42.5, 79, 1 3 2
43.7, 38, 2 0 2
69.1, 32, 4 8 0

Unit cell a=7.721 b=15.321 c=4.906 alpha=90.00 beta=90.00 gamma=90.00
Space group Ibam (No. 72)
Asymmetric unit:
Co 0.000 0.196 0.250 [8 per cell]
Si 0.000 0.500 0.250 [4 per cell]
Si 0.080 0.073 0.000 [8 per cell]
Si 0.201 0.281 0.000 [8 per cell]
Mo 0.114 0.358 0.500 [8 per cell]
Mo 0.244 0.063 0.500 [8 per cell]

***

Starting from a structure optimized by DFT (GGA-PBE), the X-ray powder pattern of Tl2In2Pb was computed for a wavelength of 1.5418 Å.
Lines closer than 0.1° are merged.

Main lines, sorted by position (15 to 90 degrees two-theta):
two_theta, I/Imax, h k l
31.4, 100, 1 0 2
31.7, 97, 1 1 0
31.9, 97, 1 1 -1
32.3, 93, 1 0 -3
33.6, 85, 2 0 -1
34.3, 93, 0 1 2
42.3, 37, 0 1 3
54.4, 39, 0 2 0

Unit cell a=5.334 b=3.377 c=8.620 alpha=90.00 beta=106.25 gamma=90.00
Space group P2/m (No. 10)
Asymmetric unit:
Tl 0.106 0.000 0.212 [2 per cell]
In 0.297 0.500 0.599 [2 per cell]
Pb 0.500 0.500 0.000 [1 per cell]

***

Starting from a structure optimized by DFT (GGA-PBE), the X-ray powder pattern of Tl2CdSiTe4 was computed for a wavelength of 1.5418 Å.
Lines closer than 0.1° are merged.

Main lines, sorted by position (15 to 90 degrees two-theta):
two_theta, I/Imax, h k l
17.4, 36, 0 2 0
22.3, 89, 2 1 0
25.2, 100, 0 0 2
27.0, 31, 2 2 0
33.5, 73, 2 3 0
33.9, 47, 2 1 2
42.4, 48, 2 3 2
49.4, 28, 4 0 2

Unit cell a=8.654 b=10.196 c=7.070 alpha=90.00 beta=90.00 gamma=90.00
Space group Pmn2_1 (No. 31)
Asymmetric unit:
Tl 0.215 0.160 0.000 [4 per cell]
Cd 0.000 0.381 0.446 [2 per cell]
Si 0.000 0.657 0.933 [2 per cell]
Te 0.000 0.422 0.042 [2 per cell]
Te 0.000 0.647 0.573 [2 per cell]
Te 0.237 0.788 0.031 [4 per cell]

***

Starting from a structure optimized by DFT (GGA-PBE), the X-ray powder pattern of Cs3Cd2Bi2 was computed for a wavelength of 1.5418 Å.
Lines closer than 0.1° are merged.

Main lines, sorted by position (15 to 90 degrees two-theta):
two_theta, I/Imax, h k l
15.5, 33, 1 1 1
16.1, 25, 1 0 2
23.5, 35, 0 2 3
25.1, 68, 2 1 0
26.4, 52, 1 1 4
27.8, 68, 1 3 0
30.3, 100, 2 1 3
35.8, 43, 1 4 0

Unit cell a=7.507 b=10.650 c=16.101 alpha=90.00 beta=90.00 gamma=90.00
Space group Pbcm (No. 57)
Asymmetric unit:
Cs 0.110 0.134 0.108 [8 per cell]
Cs 0.323 0.720 0.750 [4 per cell]
Cd 0.391 0.023 0.584 [8 per cell]
Bi 0.207 0.071 0.750 [4 per cell]
Bi 0.398 0.750 0.000 [4 per cell]

***

Starting from a structure optimized by DFT (GGA-PBE), the X-ray powder pattern of CdBP was computed for a wavelength of 1.5418 Å.
Lines closer than 0.1° are merged.

Main lines, sorted by position (15 to 90 degrees two-theta):
two_theta, I/Imax, h k l
15.8, 61, 0 0 1
28.5, 34, 2 0 -1
29.5, 100, 2 0 0
32.0, 34, 0 0 2
33.6, 35, 0 2 1
41.5, 26, 2 2 -1
42.2, 32, 2 2 0
44.0, 22, 0 2 2

Unit cell a=6.418 b=6.062 c=5.930 alpha=90.00 beta=109.26 gamma=90.00
Space group C2 (No. 5)
Asymmetric unit:
Cd 0.244 0.000 0.460 [4 per cell]
B 0.141 0.098 0.048 [4 per cell]
P 0.181 0.418 0.080 [4 per cell]

***

Starting from a structure optimized by DFT (GGA-PBE), the X-ray powder pattern of Ac2Tl8Cu was computed for a wavelength of 1.5418 Å.
Lines closer than 0.1° are merged.

Main lines, sorted by position (15 to 90 degrees two-theta):
two_theta, I/Imax, h k l
28.7, 52, 1 1 2
32.6, 100, 1 1 3
34.2, 26, 0 0 5
36.0, 60, 2 0 0
50.5, 35, 2 0 5
51.8, 22, 2 2 0
62.4, 19, 1 1 8
62.6, 31, 3 1 3

Unit cell a=4.992 b=4.992 c=13.120 alpha=90.00 beta=90.00 gamma=90.00
Space group P4/mmm (No. 123)
Asymmetric unit:
Ac 0.000 0.000 0.198 [2 per cell]
Tl 0.000 0.500 0.000 [2 per cell]
Tl 0.000 0.500 0.382 [4 per cell]
Tl 0.500 0.500 0.190 [2 per cell]
Cu 0.000 0.000 0.500 [1 per cell]

***

Starting from a structure optimized by DFT (GGA-PBE), the X-ray powder pattern of La4ThHg3 was computed for a wavelength of 1.5418 Å.
Lines closer than 0.1° are merged.

Main lines, sorted by position (15 to 90 degrees two-theta):
two_theta, I/Imax, h k l
30.9, 29, 0 0 4
31.4, 28, 0 2 0
32.7, 100, 1 1 2
44.6, 21, 0 2 4
56.2, 21, 1 1 6
56.7, 21, 1 3 2
59.5, 9, 2 2 0
68.6, 12, 2 2 4

Unit cell a=3.704 b=5.703 c=11.564 alpha=90.00 beta=90.00 gamma=90.00
Space group Pmmm (No. 47)
Asymmetric unit:
La 0.000 0.000 0.000 [1 per cell]
La 0.000 0.000 0.500 [1 per cell]
La 0.000 0.500 0.240 [2 per cell]
Th 0.500 0.500 0.500 [1 per cell]
Hg 0.500 0.000 0.255 [2 per cell]
Hg 0.500 0.500 0.000 [1 per cell]